# CdI2
Calculated X-ray powder pattern, Cu Kα (weighted mean of Kα1 and Kα2). Input: a cell relaxed with PBE.
No peak broadening, texture or thermal motion is included.

Cell: 4.3308 4.3308 22.2099 Å, 90.00 90.00 120.00°
Atoms (fractional coordinates):
Cd 0.0000 0.0000 0.0000
Cd 0.0000 0.0000 0.3333
Cd 0.6667 0.3333 0.6667
I 0.0000 0.0000 0.5889
I 0.3333 0.6667 0.0778
I 0.3333 0.6667 0.4111
I 0.3333 0.6667 0.7445
I 0.6667 0.3333 0.2555
I 0.6667 0.3333 0.9222

Principal peaks in the range 15° ≤ 2θ ≤ 90°, by intensity:
2theta, d/Å, I (rel.), h k l
26.64, 3.346, 100.0, 0 1 3
41.71, 2.165, 49.7, 1 1 0
31.21, 2.866, 28.3, 1 0 5
28.72, 3.108, 27.5, 1 0 4
34.03, 2.635, 26.9, 0 1 6
43.92, 2.062, 26.3, 1 0 9
66.45, 1.407, 23.0, 1 1 12
37.11, 2.422, 19.6, 1 0 7
50.18, 1.818, 17.1, 2 0 3
67.24, 1.392, 14.1, 1 2 3

***

# CdI2
Calculated X-ray powder pattern, Cu Kα (weighted mean of Kα1 and Kα2). Input: a cell relaxed with PBE.
No peak broadening, texture or thermal motion is included.

Cell: 4.3447 4.3447 80.9131 Å, 90.00 90.00 120.00°
Atoms (fractional coordinates):
Cd 0.0000 0.0000 0.0000
Cd 0.0000 0.0000 0.0909
Cd 0.0000 0.0000 0.1818
Cd 0.0000 0.0000 0.2727
Cd 0.0000 0.0000 0.3636
Cd 0.0000 0.0000 0.5454
Cd 0.0000 0.0000 0.7273
Cd 0.6667 0.3333 0.4545
Cd 0.6667 0.3333 0.6363
Cd 0.6667 0.3333 0.8182
Cd 0.6667 0.3333 0.9091
I 0.0000 0.0000 0.4332
I 0.0000 0.0000 0.6150
I 0.0000 0.0000 0.7968
I 0.0000 0.0000 0.8877
I 0.3333 0.6667 0.0214
I 0.3333 0.6667 0.1123
I 0.3333 0.6667 0.2032
I 0.3333 0.6667 0.2941
I 0.3333 0.6667 0.3850
I 0.3333 0.6667 0.4759
I 0.3333 0.6667 0.5668
I 0.3333 0.6667 0.6577
I 0.3333 0.6667 0.7487
I 0.3333 0.6667 0.8396
I 0.3333 0.6667 0.9305
I 0.6667 0.3333 0.0695
I 0.6667 0.3333 0.1604
I 0.6667 0.3333 0.2513
I 0.6667 0.3333 0.3423
I 0.6667 0.3333 0.5241
I 0.6667 0.3333 0.7059
I 0.6667 0.3333 0.9786

Principal peaks in the range 15° ≤ 2θ ≤ 90°, by intensity:
2theta, d/Å, I (rel.), h k l
26.61, 3.350, 100.0, 0 1 11
41.57, 2.172, 50.7, 1 1 0
44.08, 2.054, 25.8, 1 0 33
34.09, 2.630, 24.7, 0 1 22
66.63, 1.404, 22.4, 1 1 44
50.04, 1.823, 17.2, 2 0 11
67.03, 1.396, 14.2, 1 2 11
43.44, 2.083, 12.8, 1 1 11
24.22, 3.675, 11.7, 0 0 22
30.28, 2.952, 10.1, 1 0 17

***

# CdI2
Calculated X-ray powder pattern, Cu Kα (weighted mean of Kα1 and Kα2). Input: a cell relaxed with PBE.
No peak broadening, texture or thermal motion is included.

Cell: 4.3327 4.3327 51.8666 Å, 90.00 90.00 120.00°
Atoms (fractional coordinates):
Cd 0.0000 0.0000 0.0000
Cd 0.0000 0.0000 0.1428
Cd 0.0000 0.0000 0.2857
Cd 0.0000 0.0000 0.4285
Cd 0.0000 0.0000 0.5714
Cd 0.0000 0.0000 0.7142
Cd 0.3333 0.6667 0.8571
I 0.0000 0.0000 0.8904
I 0.3333 0.6667 0.0333
I 0.3333 0.6667 0.1761
I 0.3333 0.6667 0.3190
I 0.3333 0.6667 0.4618
I 0.3333 0.6667 0.6046
I 0.3333 0.6667 0.7475
I 0.6667 0.3333 0.1095
I 0.6667 0.3333 0.2524
I 0.6667 0.3333 0.3952
I 0.6667 0.3333 0.5381
I 0.6667 0.3333 0.6809
I 0.6667 0.3333 0.8238
I 0.6667 0.3333 0.9667

Principal peaks in the range 15° ≤ 2θ ≤ 90°, by intensity:
2theta, d/Å, I (rel.), h k l
26.63, 3.347, 100.0, 0 1 7
41.69, 2.166, 41.6, 1 1 0
34.01, 2.636, 41.5, 0 1 14
43.89, 2.063, 28.1, 1 0 21
66.40, 1.408, 17.9, 1 1 28
50.16, 1.819, 17.4, 2 0 7
67.21, 1.393, 14.2, 1 2 7
43.53, 2.079, 11.0, 1 1 7
77.63, 1.230, 10.3, 2 1 21
54.85, 1.674, 10.2, 2 0 14

***

# CdI2
Calculated X-ray powder pattern, Cu Kα (weighted mean of Kα1 and Kα2). Input: a cell relaxed with PBE.
No peak broadening, texture or thermal motion is included.

Cell: 4.3391 4.3391 79.4655 Å, 90.00 90.00 120.00°
Atoms (fractional coordinates):
Cd 0.0000 0.0000 0.0000
Cd 0.0000 0.0000 0.1000
Cd 0.0000 0.0000 0.2001
Cd 0.0000 0.0000 0.3000
Cd 0.0000 0.0000 0.4000
Cd 0.0000 0.0000 0.5000
Cd 0.0000 0.0000 0.6000
Cd 0.0000 0.0000 0.7001
Cd 0.3333 0.6667 0.7999
Cd 0.3333 0.6667 0.8999
I 0.0000 0.0000 0.7783
I 0.0000 0.0000 0.8784
I 0.3333 0.6667 0.0784
I 0.3333 0.6667 0.1784
I 0.3333 0.6667 0.2784
I 0.3333 0.6667 0.3784
I 0.3333 0.6667 0.4784
I 0.3333 0.6667 0.5784
I 0.3333 0.6667 0.6784
I 0.3333 0.6667 0.9784
I 0.6667 0.3333 0.0216
I 0.6667 0.3333 0.1216
I 0.6667 0.3333 0.2217
I 0.6667 0.3333 0.3216
I 0.6667 0.3333 0.4216
I 0.6667 0.3333 0.5216
I 0.6667 0.3333 0.6216
I 0.6667 0.3333 0.7217
I 0.6667 0.3333 0.8215
I 0.6667 0.3333 0.9215

Principal peaks in the range 15° ≤ 2θ ≤ 90°, by intensity:
2theta, d/Å, I (rel.), h k l
26.23, 3.397, 100.0, 1 0 10
41.66, 2.168, 75.5, 1 1 0
32.80, 2.730, 45.3, 1 0 20
76.01, 1.252, 17.5, 3 0 0
49.87, 1.828, 17.3, 0 2 10
43.23, 2.093, 17.2, 1 1 10
63.50, 1.465, 16.7, 1 1 40
66.92, 1.398, 13.9, 2 1 10
73.93, 1.282, 13.6, 1 1 50
53.98, 1.699, 10.6, 0 2 20

***

# CdI2
Calculated X-ray powder pattern, Cu Kα (weighted mean of Kα1 and Kα2). Input: a cell relaxed with PBE.
No peak broadening, texture or thermal motion is included.

Cell: 4.3463 4.3463 66.1258 Å, 90.00 90.00 120.00°
Atoms (fractional coordinates):
Cd 0.0000 0.0000 0.0000
Cd 0.0000 0.0000 0.1111
Cd 0.0000 0.0000 0.2223
Cd 0.0000 0.0000 0.3333
Cd 0.0000 0.0000 0.4444
Cd 0.0000 0.0000 0.5556
Cd 0.0000 0.0000 0.6667
Cd 0.0000 0.0000 0.7778
Cd 0.6667 0.3333 0.8889
I 0.0000 0.0000 0.8628
I 0.3333 0.6667 0.0261
I 0.3333 0.6667 0.1372
I 0.3333 0.6667 0.2484
I 0.3333 0.6667 0.3594
I 0.3333 0.6667 0.4706
I 0.3333 0.6667 0.5817
I 0.3333 0.6667 0.6928
I 0.3333 0.6667 0.8039
I 0.3333 0.6667 0.9150
I 0.6667 0.3333 0.0850
I 0.6667 0.3333 0.1962
I 0.6667 0.3333 0.3072
I 0.6667 0.3333 0.4184
I 0.6667 0.3333 0.5295
I 0.6667 0.3333 0.6406
I 0.6667 0.3333 0.7517
I 0.6667 0.3333 0.9739

Principal peaks in the range 15° ≤ 2θ ≤ 90°, by intensity:
2theta, d/Å, I (rel.), h k l
26.61, 3.350, 100.0, 0 1 9
34.10, 2.629, 43.4, 0 1 18
41.56, 2.173, 40.1, 1 1 0
44.12, 2.053, 27.7, 1 0 27
66.67, 1.403, 17.6, 1 1 36
50.03, 1.823, 17.2, 2 0 9
67.00, 1.397, 14.2, 1 2 9
54.81, 1.675, 10.8, 2 0 18
77.61, 1.230, 10.3, 2 1 27
43.42, 2.084, 10.2, 1 1 9

***

# CdI2
Calculated X-ray powder pattern, Cu Kα (weighted mean of Kα1 and Kα2). Input: a cell relaxed with PBE.
No peak broadening, texture or thermal motion is included.

Cell: 4.3327 4.3327 67.0775 Å, 90.00 90.00 120.00°
Atoms (fractional coordinates):
Cd 0.0000 0.0000 0.0000
Cd 0.0000 0.0000 0.2222
Cd 0.0000 0.0000 0.4445
Cd 0.0000 0.0000 0.5555
Cd 0.0000 0.0000 0.7778
Cd 0.3333 0.6667 0.6666
Cd 0.3333 0.6667 0.8888
Cd 0.6667 0.3333 0.1112
Cd 0.6667 0.3333 0.3334
I 0.0000 0.0000 0.0853
I 0.0000 0.0000 0.3076
I 0.0000 0.0000 0.6924
I 0.0000 0.0000 0.9147
I 0.3333 0.6667 0.0257
I 0.3333 0.6667 0.1368
I 0.3333 0.6667 0.2479
I 0.3333 0.6667 0.3591
I 0.3333 0.6667 0.4703
I 0.3333 0.6667 0.5812
I 0.3333 0.6667 0.8035
I 0.6667 0.3333 0.1965
I 0.6667 0.3333 0.4188
I 0.6667 0.3333 0.5297
I 0.6667 0.3333 0.6409
I 0.6667 0.3333 0.7521
I 0.6667 0.3333 0.8632
I 0.6667 0.3333 0.9743

Principal peaks in the range 15° ≤ 2θ ≤ 90°, by intensity:
2theta, d/Å, I (rel.), h k l
26.60, 3.351, 100.0, 0 1 9
41.69, 2.166, 67.4, 1 1 0
29.43, 3.035, 44.5, 1 0 13
66.15, 1.413, 30.1, 1 1 36
43.70, 2.071, 24.7, 1 0 27
39.12, 2.303, 22.6, 0 1 23
30.25, 2.954, 20.0, 0 1 14
43.50, 2.080, 18.4, 1 1 9
26.02, 3.425, 17.8, 1 0 8
50.14, 1.819, 17.1, 2 0 9

***

# CdI2
Calculated X-ray powder pattern, Cu Kα (weighted mean of Kα1 and Kα2). Input: a cell relaxed with PBE.
No peak broadening, texture or thermal motion is included.

Cell: 4.3324 4.3324 22.1608 Å, 90.00 90.00 120.00°
Atoms (fractional coordinates):
Cd 0.0000 0.0000 0.0000
Cd 0.3333 0.6667 0.6669
Cd 0.6667 0.3333 0.3331
I 0.0000 0.0000 0.2552
I 0.0000 0.0000 0.7448
I 0.3333 0.6667 0.0779
I 0.3333 0.6667 0.4111
I 0.6667 0.3333 0.5889
I 0.6667 0.3333 0.9221

Principal peaks in the range 15° ≤ 2θ ≤ 90°, by intensity:
2theta, d/Å, I (rel.), h k l
28.74, 3.107, 100.0, 1 0 4
26.65, 3.345, 71.5, 1 0 3
41.70, 2.166, 68.1, 1 1 0
40.48, 2.229, 41.9, 0 1 8
31.23, 2.864, 40.6, 0 1 5
37.16, 2.420, 33.9, 1 0 7
66.53, 1.405, 33.1, 1 1 12
25.06, 3.554, 29.3, 1 0 2
24.08, 3.696, 26.2, 0 0 6
51.44, 1.776, 24.9, 0 2 4